No. 1
Starting from a structure optimized by DFT (GGA-PBE), the powder diffraction line list of Cs3Re3S4I4 was simulated for CuKα.
No peak broadening, texture or thermal motion is included.

The 8 most intense peaks (2θ from 15° to 90°), low angle first:
2θ (°)  I/Imax
21.99  100.0
31.29  52.3
33.24  48.3
39.81  29.4
42.96  46.2
44.84  32.2
46.29  26.8
50.48  31.1

Structure:
```
28
Lattice="0.000 8.086 8.086 8.086 0.000 8.086 8.086 8.086 0.000" Properties=species:S:1:pos:R:3 pbc="T T T"
Cs 4.043 4.043 0.000
Cs 4.043 0.000 4.043
Cs 8.086 4.043 4.043
Cs 0.000 4.043 4.043
Cs 4.043 8.086 4.043
Cs 4.043 4.043 8.086
Re 8.086 8.086 1.848
Re 8.086 1.848 8.086
Re 14.324 8.086 8.086
Re 1.848 8.086 8.086
Re 8.086 14.324 8.086
Re 8.086 8.086 14.324
S 1.709 1.709 1.709
S 6.377 6.377 1.709
S 6.377 1.709 6.377
S 14.463 9.795 9.795
S 1.709 6.377 6.377
S 9.795 14.463 9.795
S 9.795 9.795 14.463
S 14.463 14.463 14.463
I 4.043 4.043 4.043
I 8.086 8.086 4.653
I 8.086 4.653 8.086
I 11.519 8.086 8.086
I 4.653 8.086 8.086
I 8.086 11.519 8.086
I 8.086 8.086 11.519
I 12.129 12.129 12.129
```


No. 2
Starting from a structure optimized by DFT (GGA-PBE), the powder diffraction line list of Cs2SmTlI6 was simulated for CuKα.
No peak broadening, texture or thermal motion is included.

The 8 most intense peaks (2θ from 15° to 90°), low angle first:
2θ (°)  I/Imax
19.50  33.2
23.95  46.2
27.72  100.0
39.60  75.3
46.81  20.4
49.03  26.6
64.77  33.7
71.85  24.5

Structure:
```
10
Lattice="0.000 6.437 6.437 6.437 0.000 6.437 6.437 6.437 0.000" Properties=species:S:1:pos:R:3 pbc="T T T"
Cs 3.218 3.218 3.218
Cs 9.655 9.655 9.655
Sm 0.000 0.000 0.000
Tl 6.437 6.437 6.437
I 6.437 6.437 3.076
I 6.437 3.076 6.437
I 9.797 6.437 6.437
I 3.076 6.437 6.437
I 6.437 9.797 6.437
I 6.437 6.437 9.797
```


No. 3
Starting from a structure optimized by DFT (GGA-PBE), the powder diffraction line list of Cs2TaInO4 was simulated for CuKα.
No peak broadening, texture or thermal motion is included.

The 8 most intense peaks (2θ from 15° to 90°), low angle first:
2θ (°)  I/Imax
26.31  24.5
28.14  100.0
28.49  27.4
39.17  21.6
41.26  13.4
47.58  15.7
50.24  20.1
50.91  13.9

Structure:
```
8
Lattice="-3.133 4.377 3.387 3.133 -4.377 3.387 3.133 4.377 -3.387" Properties=species:S:1:pos:R:3 pbc="T T T"
Cs 0.000 2.160 0.000
Cs 0.000 6.594 0.000
Ta 0.000 4.377 2.933
In 0.000 0.000 3.601
O 3.133 1.548 0.569
O -1.538 4.377 1.840
O 1.538 4.377 1.840
O 0.000 2.829 3.956
```


No. 4
Starting from a structure optimized by DFT (GGA-PBE), the powder diffraction line list of CsInPdS3 was simulated for CuKα.
No peak broadening, texture or thermal motion is included.

The 8 most intense peaks (2θ from 15° to 90°), low angle first:
2θ (°)  I/Imax
15.70  55.9
22.35  87.5
25.93  53.8
29.50  55.6
30.51  71.0
31.17  100.0
32.46  59.2
46.07  49.8

Structure:
```
12
Lattice="9.287 0.000 0.000 0.000 3.797 0.000 -3.426 0.000 9.732" Properties=species:S:1:pos:R:3 pbc="T T T"
Cs 1.099 0.949 2.276
Cs 4.763 2.848 7.456
In 0.089 2.848 8.697
In 5.773 0.949 1.035
Pd -1.076 0.949 5.918
Pd 6.937 2.848 3.814
S -1.664 0.949 8.375
S -0.169 2.848 4.909
S 3.994 2.848 1.512
S 1.868 0.949 8.220
S 6.030 0.949 4.824
S 7.526 2.848 1.358
```


No. 5
Starting from a structure optimized by DFT (GGA-PBE), the powder diffraction line list of CsInPdS3 was simulated for CuKα.
No peak broadening, texture or thermal motion is included.

The 8 most intense peaks (2θ from 15° to 90°), low angle first:
2θ (°)  I/Imax
16.13  35.3
23.58  55.7
27.37  40.9
28.85  100.0
32.19  47.1
32.96  32.5
34.75  39.4
48.26  40.4

Structure:
```
24
Lattice="15.091 0.000 0.000 0.000 4.201 0.000 0.000 0.000 10.991" Properties=species:S:1:pos:R:3 pbc="T T T"
Cs 3.500 1.050 0.378
Cs 4.046 3.151 5.873
Cs 11.045 1.050 5.117
Cs 11.592 3.151 10.613
In 0.366 1.050 4.008
In 7.179 3.151 9.504
In 7.912 1.050 1.487
In 14.725 3.151 6.982
Pd 0.340 3.151 0.902
Pd 7.205 1.050 6.397
Pd 7.886 3.151 4.594
Pd 14.751 1.050 10.089
S 0.543 3.151 9.498
S 1.339 1.050 6.345
S 1.667 3.151 2.857
S 5.879 1.050 8.352
S 6.206 3.151 0.850
S 7.002 1.050 4.003
S 8.089 3.151 6.988
S 8.885 1.050 10.140
S 9.213 3.151 2.638
S 13.424 1.050 8.134
S 13.752 3.151 4.645
S 14.548 1.050 1.492
```


No. 6
Starting from a structure optimized by DFT (GGA-PBE), the powder diffraction line list of CsK2P2IrO8 was simulated for CuKα.
No peak broadening, texture or thermal motion is included.

The 8 most intense peaks (2θ from 15° to 90°), low angle first:
2θ (°)  I/Imax
18.89  59.0
29.78  100.0
33.03  57.6
40.52  13.9
45.07  37.1
57.00  30.4
58.29  20.0
77.21  13.1

Structure:
```
14
Lattice="5.423 0.000 0.000 -2.712 4.697 0.000 0.000 0.000 7.798" Properties=species:S:1:pos:R:3 pbc="T T T"
Cs 0.000 0.000 0.000
K 0.000 3.131 5.779
K 2.712 1.566 2.020
P 0.000 3.131 2.189
P 2.712 1.566 5.609
Ir 0.000 0.000 3.899
O 0.000 1.646 2.656
O -1.286 3.874 2.656
O 0.000 3.131 0.668
O 1.425 0.823 5.142
O 1.286 3.874 2.656
O 2.712 1.566 7.130
O 3.998 0.823 5.142
O 2.712 3.051 5.142
```


No. 7
Starting from a structure optimized by DFT (GGA-PBE), the powder diffraction line list of CsMoIr was simulated for CuKα.
No peak broadening, texture or thermal motion is included.

The 8 most intense peaks (2θ from 15° to 90°), low angle first:
2θ (°)  I/Imax
23.06  51.2
38.09  100.0
45.00  26.7
54.97  17.2
60.39  11.3
68.84  35.1
81.49  11.2
86.09  8.7

Structure:
```
3
Lattice="0.000 3.341 3.341 3.341 0.000 3.341 3.341 3.341 0.000" Properties=species:S:1:pos:R:3 pbc="T T T"
Cs 0.000 0.000 0.000
Mo 3.341 3.341 3.341
Ir 1.670 1.670 1.670
```


No. 8
Starting from a structure optimized by DFT (GGA-PBE), the powder diffraction line list of CsIrSO was simulated for CuKα.
No peak broadening, texture or thermal motion is included.

The 8 most intense peaks (2θ from 15° to 90°), low angle first:
2θ (°)  I/Imax
15.60  25.5
21.50  73.1
24.66  100.0
28.35  34.5
31.16  50.6
34.65  35.9
35.86  44.7
53.25  21.7

Structure:
```
16
Lattice="5.692 0.000 0.000 0.000 6.296 0.000 -0.832 0.000 12.902" Properties=species:S:1:pos:R:3 pbc="T T T"
Cs 0.682 1.518 5.723
Cs 0.266 1.630 12.174
Cs 4.594 4.666 0.728
Cs 4.178 4.778 7.179
Ir 2.022 4.608 4.190
Ir 1.606 4.835 10.641
Ir 3.254 1.460 2.261
Ir 2.838 1.688 8.712
S 1.368 3.253 9.154
S 1.784 6.191 2.703
S 3.076 0.105 10.199
S 3.492 3.043 3.748
O 1.166 4.677 5.796
O 0.750 4.767 12.247
O 4.110 1.529 0.655
O 3.694 1.619 7.106
```


No. 9
Starting from a structure optimized by DFT (GGA-PBE), the powder diffraction line list of CsP2IrOs was simulated for CuKα.
No peak broadening, texture or thermal motion is included.

The 8 most intense peaks (2θ from 15° to 90°), low angle first:
2θ (°)  I/Imax
24.79  54.7
29.06  25.0
34.02  100.0
40.56  21.5
45.27  31.8
49.88  49.2
52.30  29.4
87.02  20.7

Structure:
```
5
Lattice="-2.003 2.003 7.182 2.003 -2.003 7.182 2.003 2.003 -7.182" Properties=species:S:1:pos:R:3 pbc="T T T"
Cs 0.000 0.000 0.000
P 0.000 0.000 4.824
P 0.000 0.000 9.540
Ir 0.000 2.003 3.591
Os 2.003 0.000 3.591
```


No. 10
Starting from a structure optimized by DFT (GGA-PBE), the powder diffraction line list of CsIr3Se5 was simulated for CuKα.
No peak broadening, texture or thermal motion is included.

The 8 most intense peaks (2θ from 15° to 90°), low angle first:
2θ (°)  I/Imax
21.01  44.1
23.68  18.7
35.09  37.7
37.13  44.1
42.77  100.0
51.03  20.5
62.94  21.8
83.22  20.0

Structure:
```
9
Lattice="5.907 0.000 0.000 -2.953 5.115 0.000 0.000 0.000 7.515" Properties=species:S:1:pos:R:3 pbc="T T T"
Cs 0.000 0.000 0.000
Ir -1.477 2.558 3.757
Ir 2.953 0.000 3.757
Ir 1.477 2.558 3.757
Se 0.000 0.000 3.757
Se 0.000 3.410 1.944
Se 0.000 3.410 5.570
Se 2.953 1.705 1.944
Se 2.953 1.705 5.570
```


No. 11
Starting from a structure optimized by DFT (GGA-PBE), the powder diffraction line list of CsSiIr was simulated for CuKα.
No peak broadening, texture or thermal motion is included.

The 8 most intense peaks (2θ from 15° to 90°), low angle first:
2θ (°)  I/Imax
22.73  91.6
37.54  100.0
44.33  48.1
54.13  17.4
59.45  20.3
67.74  35.7
72.47  15.2
84.60  15.4

Structure:
```
3
Lattice="0.000 3.389 3.389 3.389 0.000 3.389 3.389 3.389 0.000" Properties=species:S:1:pos:R:3 pbc="T T T"
Cs 0.000 0.000 0.000
Si 3.389 3.389 3.389
Ir 1.694 1.694 1.694
```


No. 12
Starting from a structure optimized by DFT (GGA-PBE), the powder diffraction line list of CsK2Li2ReO6 was simulated for CuKα.
No peak broadening, texture or thermal motion is included.

The 8 most intense peaks (2θ from 15° to 90°), low angle first:
2θ (°)  I/Imax
15.90  100.0
20.95  87.2
25.50  48.2
27.57  34.9
30.99  42.4
34.31  64.5
39.30  22.7
47.76  24.4

Structure:
```
12
Lattice="3.318 -5.571 0.000 3.318 5.571 0.000 -1.186 0.000 5.209" Properties=species:S:1:pos:R:3 pbc="T T T"
Cs 0.000 0.000 0.000
K 2.725 3.558 2.605
K 2.725 -3.558 2.605
Li 3.318 1.169 0.000
Li 3.318 -1.169 0.000
Re 2.725 0.000 2.605
O 1.968 1.365 1.493
O 1.216 0.000 3.765
O 1.968 -1.365 1.493
O 3.483 1.365 3.716
O 4.234 0.000 1.444
O 3.483 -1.365 3.716
```